This entry pairs a crystal structure of LiY2CoC with its calculated powder XRD pattern. Radiation: λ = 1.5418 Å (Cu Kα). Structure: a crystal structure in OQMD, relaxed with PBE.
Neutral-atom scattering factors, no anomalous dispersion.

Main lines, in order of rising 2θ (10 to 90 degrees two-theta):
2θ (°)	I/Imax
17.77	25
24.40	19
25.23	23
35.39	100
35.98	57
51.80	19
63.14	20
64.30	33

Cell and atoms:
a = 4.9921 Å, b = 4.9921 Å, c = 3.6477 Å
α = 90.00°, β = 90.00°, γ = 90.00°
Element x y z (fractional)
Li (0.0000, 0.0000, 0.0000)
Y (0.0000, 0.5000, 0.5000)
Y (0.5000, 0.0000, 0.5000)
Co (0.5000, 0.5000, 0.0000)
C (0.5000, 0.5000, 0.5000)

---

This entry pairs a crystal structure of Lu2Co3Mo4C3 with its calculated powder XRD pattern. Radiation: λ = 1.5418 Å (Cu Kα). Structure: a crystal structure in OQMD, relaxed with PBE.
Neutral-atom scattering factors, no anomalous dispersion.

Main lines, in order of rising 2θ (10 to 90 degrees two-theta):
2θ (°)	I/Imax
27.29	44
33.77	62
34.45	92
39.58	99
39.77	100
39.93	91
43.76	43
60.39	67

Cell and atoms:
a = 5.3099 Å, b = 5.3099 Å, c = 13.4608 Å
α = 101.91°, β = 101.91°, γ = 59.97°
Element x y z (fractional)
Lu (0.0449, 0.8782, 0.6275)
Lu (0.1218, 0.9551, 0.8725)
Lu (0.8782, 0.0449, 0.1275)
Lu (0.9551, 0.1218, 0.3725)
Co (0.0884, 0.4078, 0.7508)
Co (0.4078, 0.0884, 0.2508)
Co (0.4137, 0.5863, 0.2500)
Co (0.5863, 0.4137, 0.7500)
Co (0.5922, 0.9116, 0.7492)
Co (0.9116, 0.5922, 0.2492)
Mo (0.1939, 0.3526, 0.0862)
Mo (0.2931, 0.4835, 0.4138)
Mo (0.3526, 0.1939, 0.5862)
Mo (0.4835, 0.2931, 0.9138)
Mo (0.5165, 0.7069, 0.0862)
Mo (0.6474, 0.8061, 0.4138)
Mo (0.7069, 0.5165, 0.5862)
Mo (0.8061, 0.6474, 0.9138)
C (0.0000, 0.5000, 0.5000)
C (0.1688, 0.6624, 0.0001)
C (0.3376, 0.8312, 0.4998)
C (0.5000, 0.0000, 0.0000)
C (0.6624, 0.1688, 0.5002)
C (0.8312, 0.3376, 0.9998)

---

This entry pairs a crystal structure of LuCoC6N6 with its calculated powder XRD pattern. Radiation: λ = 1.5418 Å (Cu Kα). Structure: a crystal structure in OQMD, relaxed with PBE.
Neutral-atom scattering factors, no anomalous dispersion.

Main lines, in order of rising 2θ (10 to 90 degrees two-theta):
2θ (°)	I/Imax
15.69	100
19.75	50
24.51	22
25.16	14
31.67	12
35.41	19
37.38	23
38.51	18

Cell and atoms:
a = 7.2638 Å, b = 7.2638 Å, c = 12.8478 Å
α = 90.00°, β = 90.00°, γ = 120.00°
Element x y z (fractional)
Lu (0.3333, 0.6667, 0.2500)
Lu (0.6667, 0.3333, 0.7500)
Co (0.0000, 0.0000, 0.0000)
Co (0.0000, 0.0000, 0.5000)
C (0.1195, 0.2390, 0.0839)
C (0.1195, 0.2390, 0.4161)
C (0.1195, 0.8805, 0.0839)
C (0.1195, 0.8805, 0.4161)
C (0.2390, 0.1195, 0.5839)
C (0.2390, 0.1195, 0.9161)
C (0.7610, 0.8805, 0.0839)
C (0.7610, 0.8805, 0.4161)
C (0.8805, 0.1195, 0.5839)
C (0.8805, 0.1195, 0.9161)
C (0.8805, 0.7610, 0.5839)
C (0.8805, 0.7610, 0.9161)
N (0.1939, 0.3879, 0.1383)
N (0.1939, 0.3879, 0.3617)
N (0.1939, 0.8061, 0.1383)
N (0.1939, 0.8061, 0.3617)
N (0.3879, 0.1939, 0.6383)
N (0.3879, 0.1939, 0.8617)
N (0.6121, 0.8061, 0.1383)
N (0.6121, 0.8061, 0.3617)
N (0.8061, 0.1939, 0.6383)
N (0.8061, 0.1939, 0.8617)
N (0.8061, 0.6121, 0.6383)
N (0.8061, 0.6121, 0.8617)

---

This entry pairs a crystal structure of Lu4CoSbC2 with its calculated powder XRD pattern. Radiation: λ = 1.5418 Å (Cu Kα). Structure: a crystal structure in OQMD, relaxed with PBE.
Neutral-atom scattering factors, no anomalous dispersion.

Main lines, in order of rising 2θ (10 to 90 degrees two-theta):
2θ (°)	I/Imax
29.28	28
35.07	100
38.32	11
51.92	27
60.71	17
64.20	17
66.34	13
87.02	15

Cell and atoms:
a = 3.5223 Å, b = 3.5223 Å, c = 14.0942 Å
α = 90.00°, β = 90.00°, γ = 120.00°
Element x y z (fractional)
Lu (0.0000, 0.0000, 0.1373)
Lu (0.0000, 0.0000, 0.8627)
Lu (0.3333, 0.6667, 0.3217)
Lu (0.3333, 0.6667, 0.6783)
Co (0.3333, 0.6667, 0.0000)
Sb (0.0000, 0.0000, 0.5000)
C (0.6667, 0.3333, 0.2352)
C (0.6667, 0.3333, 0.7648)

---

This entry pairs a crystal structure of Lu4Co3W2C3 with its calculated powder XRD pattern. Radiation: λ = 1.5418 Å (Cu Kα). Structure: a crystal structure in OQMD, relaxed with PBE.
Neutral-atom scattering factors, no anomalous dispersion.

Main lines, in order of rising 2θ (10 to 90 degrees two-theta):
2θ (°)	I/Imax
12.32	61
32.15	34
32.61	59
32.88	36
37.05	93
37.20	100
37.55	61
37.67	95

Cell and atoms:
a = 5.5687 Å, b = 5.5687 Å, c = 14.6644 Å
α = 99.87°, β = 99.87°, γ = 60.36°
Element x y z (fractional)
Lu (0.0440, 0.1839, 0.0993)
Lu (0.1245, 0.3023, 0.4004)
Lu (0.1839, 0.0440, 0.5993)
Lu (0.3023, 0.1245, 0.9004)
Lu (0.6977, 0.8755, 0.0996)
Lu (0.8161, 0.9560, 0.4007)
Lu (0.8755, 0.6977, 0.5996)
Lu (0.9560, 0.8161, 0.9007)
Co (0.0809, 0.4209, 0.7514)
Co (0.0912, 0.9088, 0.7500)
Co (0.4209, 0.0809, 0.2514)
Co (0.5791, 0.9191, 0.7486)
Co (0.9088, 0.0912, 0.2500)
Co (0.9191, 0.5791, 0.2486)
W (0.3392, 0.5219, 0.0745)
W (0.4781, 0.6608, 0.4255)
W (0.5219, 0.3392, 0.5745)
W (0.6608, 0.4781, 0.9255)
C (0.0000, 0.5000, 0.0000)
C (0.2022, 0.6487, 0.5000)
C (0.3513, 0.7978, 0.0000)
C (0.5000, 0.0000, 0.5000)
C (0.6487, 0.2022, 0.0000)
C (0.7978, 0.3513, 0.5000)

---

This entry pairs a crystal structure of Co6Mo6C with its calculated powder XRD pattern. Radiation: λ = 1.5418 Å (Cu Kα). Structure: a crystal structure in OQMD, relaxed with PBE.
Neutral-atom scattering factors, no anomalous dispersion.

Main lines, in order of rising 2θ (10 to 90 degrees two-theta):
2θ (°)	I/Imax
32.95	10
36.01	16
40.65	37
43.24	100
47.29	36
73.98	33
75.77	9
89.74	16

Cell and atoms:
a = 7.6882 Å, b = 7.6882 Å, c = 7.6882 Å
α = 60.00°, β = 60.00°, γ = 60.00°
Element x y z (fractional)
Co (0.0000, 0.0000, 0.0000)
Co (0.0000, 0.0000, 0.5000)
Co (0.0000, 0.5000, 0.0000)
Co (0.1208, 0.7931, 0.7931)
Co (0.2069, 0.2069, 0.2069)
Co (0.2069, 0.2069, 0.8792)
Co (0.2069, 0.8792, 0.2069)
Co (0.5000, 0.0000, 0.0000)
Co (0.7931, 0.1208, 0.7931)
Co (0.7931, 0.7931, 0.1208)
Co (0.7931, 0.7931, 0.7931)
Co (0.8792, 0.2069, 0.2069)
Mo (0.1766, 0.1766, 0.5734)
Mo (0.1766, 0.5734, 0.1766)
Mo (0.1766, 0.5734, 0.5734)
Mo (0.4266, 0.4266, 0.8234)
Mo (0.4266, 0.8234, 0.4266)
Mo (0.4266, 0.8234, 0.8234)
Mo (0.5734, 0.1766, 0.1766)
Mo (0.5734, 0.1766, 0.5734)
Mo (0.5734, 0.5734, 0.1766)
Mo (0.8234, 0.4266, 0.4266)
Mo (0.8234, 0.4266, 0.8234)
Mo (0.8234, 0.8234, 0.4266)
C (0.3750, 0.3750, 0.3750)
C (0.6250, 0.6250, 0.6250)

---

This entry pairs a crystal structure of Co2Mo8C3N3 with its calculated powder XRD pattern. Radiation: λ = 1.5418 Å (Cu Kα). Structure: a crystal structure in OQMD, relaxed with PBE.
Neutral-atom scattering factors, no anomalous dispersion.

Main lines, in order of rising 2θ (10 to 90 degrees two-theta):
2θ (°)	I/Imax
34.36	20
35.05	28
37.68	26
39.38	25
39.56	68
41.76	100
61.10	41
75.16	22

Cell and atoms:
a = 3.0332 Å, b = 3.0332 Å, c = 22.8786 Å
α = 90.00°, β = 90.00°, γ = 120.00°
Element x y z (fractional)
Co (0.3333, 0.6667, 0.2509)
Co (0.6667, 0.3333, 0.7491)
Mo (0.0000, 0.0000, 0.1623)
Mo (0.0000, 0.0000, 0.3350)
Mo (0.0000, 0.0000, 0.6650)
Mo (0.0000, 0.0000, 0.8377)
Mo (0.3333, 0.6667, 0.0587)
Mo (0.3333, 0.6667, 0.4433)
Mo (0.6667, 0.3333, 0.5567)
Mo (0.6667, 0.3333, 0.9413)
C (0.0000, 0.0000, 0.0000)
C (0.3333, 0.6667, 0.8850)
C (0.6667, 0.3333, 0.1150)
N (0.0000, 0.0000, 0.5000)
N (0.3333, 0.6667, 0.6129)
N (0.6667, 0.3333, 0.3871)

---

This entry pairs a crystal structure of Nb4Co3Mo2C3 with its calculated powder XRD pattern. Radiation: λ = 1.5418 Å (Cu Kα). Structure: a crystal structure in OQMD, relaxed with PBE.
Neutral-atom scattering factors, no anomalous dispersion.

Main lines, in order of rising 2θ (10 to 90 degrees two-theta):
2θ (°)	I/Imax
33.54	25
34.30	8
39.92	100
42.80	14
55.44	11
59.92	14
60.06	7
76.44	13

Cell and atoms:
a = 5.3370 Å, b = 5.3427 Å, c = 13.0438 Å
α = 78.25°, β = 78.23°, γ = 60.14°
Element x y z (fractional)
Nb (0.0373, 0.3687, 0.3955)
Nb (0.1294, 0.4669, 0.1045)
Nb (0.1983, 0.8700, 0.8954)
Nb (0.2993, 0.9682, 0.6045)
Nb (0.7007, 0.0318, 0.3955)
Nb (0.8017, 0.1300, 0.1046)
Nb (0.8706, 0.5331, 0.8955)
Nb (0.9627, 0.6313, 0.6045)
Co (0.1238, 0.7497, 0.2500)
Co (0.2990, 0.5388, 0.7492)
Co (0.4133, 0.0411, 0.2491)
Co (0.5867, 0.9589, 0.7509)
Co (0.7010, 0.4612, 0.2508)
Co (0.8762, 0.2503, 0.7500)
Mo (0.3578, 0.6992, 0.4146)
Mo (0.4713, 0.8020, 0.0853)
Mo (0.5287, 0.1980, 0.9147)
Mo (0.6422, 0.3008, 0.5854)
C (0.0000, 0.0000, 0.5000)
C (0.1589, 0.1708, 0.0001)
C (0.3300, 0.3299, 0.5000)
C (0.5000, 0.5000, 0.0000)
C (0.6700, 0.6701, 0.5000)
C (0.8411, 0.8292, 0.9999)

---

Number 1 is which compound? LiY2CoC